1.
ScTl5: theoretical powder diffraction line list (Cu Kα), based on a DFT-relaxed cell (GGA-PBE, Alexandria).

Top 8 peaks for 10 to 90 degrees two-theta, by intensity:
h k l	2θ (°)	I (rel.)
1 0 3	32.06	100.0
1 1 0	35.92	43.1
2 1 3	62.14	30.7
1 0 2	28.43	18.5
1 0 8	60.20	15.5
2 0 0	51.71	15.5
1 1 6	54.53	13.7
1 1 5	49.43	13.3

Atomic structure:
Lattice parameters (Å, degrees): 3.5359 3.5359 13.6529 90.00 90.00 90.00
Fractional coordinates of all 6 atoms:
Sc 0.0000 0.0000 0.0000
Tl 0.0000 0.0000 0.3125
Tl 0.0000 0.0000 0.6875
Tl 0.5000 0.5000 0.1409
Tl 0.5000 0.5000 0.5000
Tl 0.5000 0.5000 0.8591


2.
Tb2PaBi2N2: theoretical powder diffraction line list (Cu Kα), based on a DFT-relaxed cell (GGA-PBE, Alexandria).

Top 8 peaks for 10 to 90 degrees two-theta, by intensity:
h k l	2θ (°)	I (rel.)
1 0 5	33.97	100.0
1 1 0	28.69	74.5
2 1 5	54.29	54.1
2 0 0	41.03	32.5
3 2 5	84.70	15.9
1 1 10	63.90	14.7
3 1 0	67.30	14.1
3 0 5	70.24	12.8

Atomic structure:
Lattice parameters (Å, degrees): 4.3997 4.3997 16.4887 90.00 90.00 90.00
Fractional coordinates of all 14 atoms:
Tb 0.0000 0.0000 0.1066
Tb 0.0000 0.0000 0.8934
Tb 0.5000 0.5000 0.3934
Tb 0.5000 0.5000 0.6066
Pa 0.0000 0.0000 0.5000
Pa 0.5000 0.5000 0.0000
Bi 0.0000 0.0000 0.3055
Bi 0.0000 0.0000 0.6945
Bi 0.5000 0.5000 0.1945
Bi 0.5000 0.5000 0.8055
N 0.0000 0.5000 0.0000
N 0.0000 0.5000 0.5000
N 0.5000 0.0000 0.0000
N 0.5000 0.0000 0.5000